Simulated powder XRD pattern of CeP3O12 for λ = 1.5418 Å (Cu Kα), from a structure optimized by DFT (GGA-PBE).
Lines closer than 0.1° are merged.

Most intense lines, 10 to 90 degrees two-theta, by angle:
| index | 2θ (°) | I_rel |
| --- | --- | --- |
| 1 0 0 | 15.13 | 1000 |
| 1 0 1 | 21.36 | 929 |
| 1 1 1 | 30.48 | 625 |
| 2 0 1 | 34.18 | 306 |
| 2 1 0 | 40.76 | 196 |
| 2 0 2 | 43.52 | 183 |
| 1 2 1 | 43.67 | 178 |
| 2 1 2 | 51.60 | 276 |

Cell and atoms:
```
data_CeP3O12
_chemical_formula_sum 'Ce1 P3 O12'
_cell_length_a 6.7623
_cell_length_b 6.7623
_cell_length_c 5.9077
_cell_angle_alpha 90.00
_cell_angle_beta 90.00
_cell_angle_gamma 120.00
_space_group_name_H-M_alt 'P -6'
_space_group_IT_number 174
loop_
_space_group_symop_operation_xyz
'x,y,z'
'-x+y,-x,-z'
'-y,x-y,z'
'x,y,-z'
'-x+y,-x,z'
'-y,x-y,-z'
loop_
_atom_site_label
_atom_site_type_symbol
_atom_site_fract_x
_atom_site_fract_y
_atom_site_fract_z
_atom_site_occupancy
Ce1 Ce 0.0000 0.0000 0.0000 1
P1 P 0.1178 0.7314 0.5000 1
O1 O 0.0192 0.7594 0.2826 1
O2 O 0.0956 0.4841 0.5000 1
O3 O 0.3783 0.0363 0.0000 1
```